Theoretical PXRD pattern of Ni2AsIrO6 for Cu Kα, from a cell relaxed with GGA+U.

Main lines, in order of rising 2θ (5° ≤ 2θ ≤ 70°):
two_theta  I_rel
15.42  40
21.88  45
23.04  100
31.14  85
31.99  52
39.09  43
44.61  57
50.80  45
52.50  41
55.94  22

```
data_Ni2AsIrO6
_cell_length_a 5.7446
_cell_length_b 5.7446
_cell_length_c 3.8597
_cell_angle_alpha 90.00
_cell_angle_beta 90.00
_cell_angle_gamma 90.00
_symmetry_space_group_name_H-M 'P 4 m m'
_symmetry_Int_Tables_number 99
_symmetry_space_group_name_Hall 'P 4 -2'
loop_
_atom_site_label
_atom_site_fract_x
_atom_site_fract_y
_atom_site_fract_z
Ni1 0.0000 0.5000 0.0000
As1 0.0000 0.0000 0.7938
Ir1 0.5000 0.5000 0.8383
O1 0.0000 0.0000 0.3470
O2 0.2479 0.2479 0.8973
O3 0.5000 0.5000 0.3442
```